Computed powder diffractogram
Compound: Cr2B2Ir
Radiation: a wavelength of 1.5418 Å
Structure: DFT lattice parameters and positions (GGA-PBE)

Main lines, in order of rising 2θ (15 to 90 degrees two-theta):
| d [Å] | 2θ/deg | I_rel | index |
| --- | --- | --- | --- |
| 5.047 | 17.57 | 76.6 | 0 2 0 |
| 4.726 | 18.78 | 32.9 | 0 2 1 |
| 3.357 | 26.56 | 48.6 | 0 2 3 |
| 2.778 | 32.22 | 59.3 | 1 1 0 |
| 2.568 | 34.94 | 35.3 | 1 1 2 |
| 2.362 | 38.09 | 31.3 | 1 1 3 |
| 2.244 | 40.19 | 64.8 | 0 0 6 |
| 2.200 | 41.03 | 100.0 | 0 4 3 |
| 2.143 | 42.18 | 59.3 | 1 1 4 |
| 2.084 | 43.41 | 42.4 | 1 3 2 |
| 1.970 | 46.08 | 89.1 | 1 3 3 |
| 1.746 | 52.42 | 32.0 | 1 1 6 |

Cell and atoms:
a = 2.890 Å, b = 10.094 Å, c = 13.463 Å
α = 90.00°, β = 90.00°, γ = 90.00°
Space group Cmcm (No. 63)
Inequivalent atoms, fractional coordinates:
Cr 0.000 0.002 0.250
Cr 0.000 0.175 0.558
Cr 0.000 0.269 0.750
B 0.000 0.202 0.130
B 0.000 0.365 0.182
Ir 0.000 0.444 0.589


Computed powder diffractogram
Compound: EuSbO4
Radiation: a wavelength of 1.5418 Å
Structure: DFT lattice parameters and positions (GGA-PBE)

Main lines, in order of rising 2θ (15 to 90 degrees two-theta):
| d [Å] | 2θ/deg | I_rel | index |
| --- | --- | --- | --- |
| 3.840 | 23.16 | 13.4 | 2 0 0 |
| 3.150 | 28.33 | 100.0 | 2 1 0 |
| 3.113 | 28.68 | 71.8 | 0 1 2 |
| 3.039 | 29.39 | 31.2 | 1 1 -2 |
| 2.958 | 30.22 | 14.3 | 2 0 -2 |
| 2.754 | 32.51 | 30.3 | 0 2 0 |
| 2.486 | 36.13 | 13.2 | 2 0 2 |
| 2.015 | 44.98 | 16.5 | 2 2 -2 |
| 1.910 | 47.61 | 15.3 | 1 0 -4 |
| 1.845 | 49.39 | 26.5 | 2 2 2 |
| 1.679 | 54.66 | 14.7 | 1 1 4 |
| 1.656 | 55.48 | 13.8 | 2 3 0 |

Cell and atoms:
a = 7.796 Å, b = 5.508 Å, c = 7.661 Å
α = 90.00°, β = 99.90°, γ = 90.00°
Space group P2_1/c (No. 14)
Inequivalent atoms, fractional coordinates:
Eu 0.148 0.228 0.395
Sb 0.338 0.732 0.197
O 0.121 0.523 0.173
O 0.172 0.002 0.128
O 0.331 0.634 0.942
O 0.438 0.090 0.802


Computed powder diffractogram
Compound: RbNiN
Radiation: a wavelength of 1.5418 Å
Structure: DFT lattice parameters and positions (GGA-PBE)

Main lines, in order of rising 2θ (15 to 90 degrees two-theta):
| d [Å] | 2θ/deg | I_rel | index |
| --- | --- | --- | --- |
| 5.487 | 16.15 | 20.6 | 2 0 0 |
| 3.171 | 28.14 | 90.2 | 3 0 1 |
| 3.154 | 28.29 | 25.3 | 0 0 2 |
| 3.032 | 29.46 | 40.7 | 1 0 2 |
| 2.937 | 30.43 | 100.0 | 2 1 0 |
| 2.522 | 35.60 | 18.7 | 4 0 1 |
| 2.285 | 39.44 | 35.4 | 1 1 2 |
| 2.150 | 42.02 | 27.4 | 2 1 2 |
| 1.784 | 51.22 | 42.8 | 5 1 1 |
| 1.671 | 54.96 | 17.1 | 4 0 3 |
| 1.524 | 60.76 | 27.4 | 3 2 1 |
| 1.507 | 61.54 | 17.0 | 1 2 2 |

Cell and atoms:
a = 11.004 Å, b = 3.476 Å, c = 6.309 Å
α = 90.00°, β = 90.00°, γ = 90.00°
Space group Pnma (No. 62)
Inequivalent atoms, fractional coordinates:
Rb 0.159 0.250 0.069
Ni 0.052 0.250 0.582
N 0.071 0.750 0.658


Computed powder diffractogram
Compound: CsTbCdTe3
Radiation: a wavelength of 1.5418 Å
Structure: DFT lattice parameters and positions (GGA-PBE)

Main lines, in order of rising 2θ (15 to 90 degrees two-theta):
| d [Å] | 2θ/deg | I_rel | index |
| --- | --- | --- | --- |
| 3.613 | 24.64 | 21.4 | 0 2 3 |
| 3.583 | 24.85 | 28.0 | 1 3 0 |
| 3.511 | 25.37 | 21.2 | 0 4 2 |
| 3.432 | 25.96 | 100.0 | 1 3 1 |
| 3.071 | 29.08 | 60.4 | 1 3 2 |
| 2.979 | 29.99 | 46.7 | 0 0 4 |
| 2.605 | 34.42 | 17.9 | 0 6 2 |
| 2.508 | 35.81 | 54.5 | 1 5 2 |
| 2.280 | 39.52 | 34.4 | 2 0 0 |
| 1.985 | 45.71 | 41.7 | 1 3 5 |
| 1.912 | 47.56 | 33.1 | 1 7 3 |
| 1.811 | 50.39 | 25.9 | 2 0 4 |

Cell and atoms:
a = 4.560 Å, b = 17.381 Å, c = 11.917 Å
α = 90.00°, β = 90.00°, γ = 90.00°
Space group Cmcm (No. 63)
Inequivalent atoms, fractional coordinates:
Cs 0.000 0.249 0.250
Tb 0.000 0.000 0.000
Cd 0.000 0.463 0.750
Te 0.000 0.065 0.750
Te 0.000 0.380 0.547


Computed powder diffractogram
Compound: VSe2
Radiation: a wavelength of 1.5418 Å
Structure: DFT lattice parameters and positions (GGA-PBE)

Main lines, in order of rising 2θ (15 to 90 degrees two-theta):
| d [Å] | 2θ/deg | I_rel | index |
| --- | --- | --- | --- |
| 3.500 | 25.45 | 17.2 | 0 0 2 |
| 2.683 | 33.40 | 100.0 | 0 1 1 |
| 2.235 | 40.35 | 51.6 | 0 1 2 |
| 1.819 | 50.15 | 34.5 | 1 0 3 |
| 1.750 | 52.27 | 7.1 | 0 0 4 |
| 1.677 | 54.74 | 25.5 | 1 1 0 |
| 1.631 | 56.42 | 5.7 | 1 1 1 |
| 1.512 | 61.30 | 9.1 | 1 1 2 |
| 1.422 | 65.66 | 13.5 | 2 0 1 |
| 1.341 | 70.16 | 9.4 | 2 0 2 |
| 1.233 | 77.40 | 9.3 | 0 2 3 |
| 1.211 | 79.09 | 12.3 | 1 1 4 |

Cell and atoms:
a = 3.3538 Å, b = 3.3538 Å, c = 7.0004 Å
α = 90.00°, β = 90.00°, γ = 120.00°
Space group P-3m1 (No. 164)
Inequivalent atoms, fractional coordinates:
V 0.0000 0.0000 0.0000
Se 0.3333 0.6667 0.2251


Computed powder diffractogram
Compound: Ba2GdCu3O7
Radiation: a wavelength of 1.5418 Å
Structure: DFT lattice parameters and positions (GGA-PBE)

Main lines, in order of rising 2θ (15 to 90 degrees two-theta):
| d [Å] | 2θ/deg | I_rel | index |
| --- | --- | --- | --- |
| 3.937 | 22.58 | 12.2 | 0 1 0 |
| 2.785 | 32.15 | 46.9 | 0 1 3 |
| 2.759 | 32.45 | 100.0 | 1 0 3 |
| 2.259 | 39.90 | 15.0 | 1 1 3 |
| 1.973 | 46.00 | 9.9 | 0 0 6 |
| 1.965 | 46.20 | 14.5 | 0 2 0 |
| 1.933 | 47.01 | 13.7 | 2 0 0 |
| 1.604 | 57.44 | 18.3 | 1 1 6 |
| 1.601 | 57.57 | 19.5 | 1 2 3 |
| 1.588 | 58.09 | 17.3 | 2 1 3 |
| 1.378 | 68.03 | 8.4 | 2 2 0 |
| 1.225 | 78.02 | 7.9 | 3 0 3 |

Cell and atoms:
a = 3.866 Å, b = 3.930 Å, c = 11.838 Å
α = 90.00°, β = 90.00°, γ = 90.00°
Space group Pmmm (No. 47)
Inequivalent atoms, fractional coordinates:
Ba 0.000 0.000 0.181
Gd 0.000 0.000 0.500
Cu 0.500 0.500 0.000
Cu 0.500 0.500 0.352
O 0.000 0.500 0.376
O 0.500 0.000 0.000
O 0.500 0.000 0.377
O 0.500 0.500 0.159